Record 1
For Tb2SmHgC, the PBE geometry in Alexandria gives the theoretical powder XRD pattern in this record (Cu Kα).
Intensities are scaled so that the largest is 100.

Atomic structure:
a = 4.916 Å, b = 4.916 Å, c = 5.062 Å
α = 90.00°, β = 90.00°, γ = 90.00°
Atoms (fractional coordinates):
1 Tb 0.000 0.500 0.000
2 Tb 0.500 0.000 0.000
3 Sm 0.000 0.000 0.500
4 Hg 0.500 0.500 0.500
5 C 0.000 0.000 0.000

Most intense lines, 2θ = 10–90°, by intensity:
- 31.21°, rel. 100
- 36.56°, rel. 35
- 62.50°, rel. 28
- 51.85°, rel. 26
- 35.47°, rel. 19
- 61.05°, rel. 15
- 65.10°, rel. 13
- 52.66°, rel. 12
- 84.80°, rel. 12
- 86.50°, rel. 6
- 86.08°, rel. 6
- 88.42°, rel. 6

***

Record 2
For Ta5NbTc, the PBE geometry in Alexandria gives the theoretical powder XRD pattern in this record (Cu Kα).
Intensities are scaled so that the largest is 100.

Atomic structure:
a = 4.548 Å, b = 4.548 Å, c = 6.447 Å
α = 90.00°, β = 90.00°, γ = 90.00°
Atoms (fractional coordinates):
1 Ta 0.000 0.000 0.000
2 Ta 0.000 0.500 0.264
3 Ta 0.000 0.500 0.736
4 Ta 0.500 0.000 0.264
5 Ta 0.500 0.000 0.736
6 Nb 0.500 0.500 0.000
7 Tc 0.500 0.500 0.500

Most intense lines, 2θ = 10–90°, by intensity:
- 39.60°, rel. 100
- 71.85°, rel. 34
- 27.72°, rel. 12
- 57.30°, rel. 12
- 23.95°, rel. 7
- 85.26°, rel. 7
- 31.08°, rel. 6
- 57.15°, rel. 5
- 85.38°, rel. 4
- 46.81°, rel. 4
- 49.02°, rel. 3
- 64.75°, rel. 3

***

Record 3
For GaSn2I5, the PBE geometry in Alexandria gives the theoretical powder XRD pattern in this record (Cu Kα).
Intensities are scaled so that the largest is 100.

Atomic structure:
a = 11.924 Å, b = 7.869 Å, c = 15.377 Å
α = 90.00°, β = 106.72°, γ = 90.00°
Atoms (fractional coordinates):
1 Ga 0.000 0.000 0.000
2 Ga 0.000 0.500 0.500
3 Ga 0.500 0.000 0.000
4 Ga 0.500 0.500 0.500
5 Sn 0.117 0.026 0.387
6 Sn 0.117 0.474 0.887
7 Sn 0.325 0.555 0.203
8 Sn 0.325 0.945 0.703
9 Sn 0.675 0.055 0.297
10 Sn 0.675 0.445 0.797
11 Sn 0.883 0.526 0.113
12 Sn 0.883 0.974 0.613
13 I 0.083 0.698 0.707
14 I 0.083 0.802 0.207
15 I 0.120 0.172 0.585
16 I 0.120 0.328 0.085
17 I 0.274 0.737 0.517
18 I 0.274 0.763 0.017
19 I 0.300 0.217 0.859
20 I 0.300 0.283 0.359
21 I 0.495 0.198 0.657
22 I 0.495 0.302 0.157
23 I 0.505 0.698 0.843
24 I 0.505 0.802 0.343
25 I 0.700 0.717 0.641
26 I 0.700 0.783 0.141
27 I 0.726 0.237 0.983
28 I 0.726 0.263 0.483
29 I 0.880 0.672 0.915
30 I 0.880 0.828 0.415
31 I 0.917 0.198 0.793
32 I 0.917 0.302 0.293

Most intense lines, 2θ = 10–90°, by intensity:
- 25.68°, rel. 100
- 25.81°, rel. 94
- 31.95°, rel. 82
- 25.04°, rel. 66
- 41.02°, rel. 36
- 18.74°, rel. 35
- 32.47°, rel. 31
- 39.45°, rel. 30
- 21.33°, rel. 26
- 32.58°, rel. 26
- 39.72°, rel. 25
- 38.64°, rel. 25

***

Record 4
For Th2AlGePt6, the PBE geometry in Alexandria gives the theoretical powder XRD pattern in this record (Cu Kα).
Intensities are scaled so that the largest is 100.

Atomic structure:
a = 5.883 Å, b = 6.462 Å, c = 7.015 Å
α = 115.48°, β = 91.59°, γ = 116.67°
Atoms (fractional coordinates):
1 Th 0.230 0.382 0.253
2 Th 0.770 0.618 0.747
3 Al 0.000 0.000 0.500
4 Ge 0.500 0.000 0.000
5 Pt 0.129 0.824 0.149
6 Pt 0.225 0.500 0.723
7 Pt 0.320 0.888 0.602
8 Pt 0.680 0.112 0.398
9 Pt 0.775 0.500 0.277
10 Pt 0.871 0.176 0.851

Most intense lines, 2θ = 10–90°, by intensity:
- 30.64°, rel. 100
- 41.63°, rel. 47
- 42.71°, rel. 37
- 40.71°, rel. 37
- 41.47°, rel. 35
- 41.06°, rel. 34
- 34.23°, rel. 34
- 35.51°, rel. 34
- 33.17°, rel. 32
- 29.33°, rel. 30
- 38.46°, rel. 29
- 52.59°, rel. 24

***

Record 5
For Nd4Pu2Te3N2, the PBE geometry in Alexandria gives the theoretical powder XRD pattern in this record (Cu Kα).
Intensities are scaled so that the largest is 100.

Atomic structure:
a = 13.412 Å, b = 13.412 Å, c = 13.412 Å
α = 159.50°, β = 159.50°, γ = 29.15°
Atoms (fractional coordinates):
1 Nd 0.084 0.584 0.500
2 Nd 0.416 0.916 0.500
3 Nd 0.584 0.084 0.500
4 Nd 0.916 0.416 0.500
5 Pu 0.194 0.194 0.000
6 Pu 0.806 0.806 0.000
7 Te 0.321 0.321 0.000
8 Te 0.500 0.500 0.000
9 Te 0.679 0.679 0.000
10 N 0.111 0.111 0.000
11 N 0.889 0.889 0.000

Most intense lines, 2θ = 10–90°, by intensity:
- 33.68°, rel. 100
- 37.70°, rel. 58
- 27.31°, rel. 58
- 65.50°, rel. 29
- 21.26°, rel. 22
- 52.06°, rel. 21
- 61.94°, rel. 21
- 54.37°, rel. 20
- 27.49°, rel. 20
- 47.28°, rel. 19
- 29.84°, rel. 19
- 34.55°, rel. 16

***

Record 6
For Na4CeY3S8, the PBE geometry in Alexandria gives the theoretical powder XRD pattern in this record (Cu Kα).
Intensities are scaled so that the largest is 100.

Atomic structure:
a = 8.136 Å, b = 8.136 Å, c = 8.136 Å
α = 59.35°, β = 59.35°, γ = 59.35°
Atoms (fractional coordinates):
1 Na 0.000 0.000 0.000
2 Na 0.000 0.500 0.500
3 Na 0.500 0.000 0.500
4 Na 0.500 0.500 0.000
5 Ce 0.500 0.500 0.500
6 Y 0.000 0.000 0.500
7 Y 0.000 0.500 0.000
8 Y 0.500 0.000 0.000
9 S 0.236 0.746 0.746
10 S 0.242 0.242 0.242
11 S 0.254 0.254 0.764
12 S 0.254 0.764 0.254
13 S 0.746 0.236 0.746
14 S 0.746 0.746 0.236
15 S 0.758 0.758 0.758
16 S 0.764 0.254 0.254

Most intense lines, 2θ = 10–90°, by intensity:
- 31.25°, rel. 100
- 13.26°, rel. 54
- 45.01°, rel. 35
- 44.55°, rel. 34
- 25.92°, rel. 26
- 55.81°, rel. 17
- 74.40°, rel. 14
- 27.07°, rel. 14
- 73.73°, rel. 14
- 47.14°, rel. 13
- 40.79°, rel. 12
- 82.73°, rel. 10